(1)
Starting from a DFT-relaxed cell (GGA-PBE, Alexandria), the PXRD pattern of NaPm12Co6 was simulated for Cu Ka.
Lines closer than 0.1° are merged.

Unit cell a=8.6996 b=8.6996 c=8.6996 alpha=109.47 beta=109.47 gamma=109.47
Atoms (fractional coordinates):
Na 0.0000 0.0000 0.0000
Pm 0.1148 0.3115 0.8033
Pm 0.1967 0.5082 0.3115
Pm 0.1967 0.8852 0.6885
Pm 0.3115 0.1967 0.5082
Pm 0.3115 0.8033 0.1148
Pm 0.4918 0.6885 0.8033
Pm 0.5082 0.3115 0.1967
Pm 0.6885 0.1967 0.8852
Pm 0.6885 0.8033 0.4918
Pm 0.8033 0.1148 0.3115
Pm 0.8033 0.4918 0.6885
Pm 0.8852 0.6885 0.1967
Co 0.1106 0.5000 0.6106
Co 0.3894 0.8894 0.5000
Co 0.5000 0.3894 0.8894
Co 0.5000 0.6106 0.1106
Co 0.6106 0.1106 0.5000
Co 0.8894 0.5000 0.3894

Largest 10 diffraction maxima, in order of falling intensity, 2θ from 10° to 90°:
33.37 deg, rel. 1000
28.09 deg, rel. 509
30.83 deg, rel. 468
53.16 deg, rel. 378
56.47 deg, rel. 372
46.07 deg, rel. 272
12.46 deg, rel. 212
82.63 deg, rel. 192
65.73 deg, rel. 177
35.75 deg, rel. 162

=====

(2)
Starting from a DFT-relaxed cell (GGA-PBE, Alexandria), the PXRD pattern of NaCoS was simulated for Cu Ka.
Lines closer than 0.1° are merged.

Unit cell a=3.7239 b=3.7239 c=8.1309 alpha=90.00 beta=90.00 gamma=90.00
Atoms (fractional coordinates):
Na 0.2500 0.2500 0.1830
Na 0.7500 0.7500 0.8170
Co 0.2500 0.7500 0.5000
Co 0.7500 0.2500 0.5000
S 0.2500 0.2500 0.6522
S 0.7500 0.7500 0.3478

Largest 10 diffraction maxima, in order of falling intensity, 2θ from 10° to 90°:
10.88 deg, rel. 1000
40.83 deg, rel. 226
32.61 deg, rel. 133
35.85 deg, rel. 118
48.92 deg, rel. 114
48.18 deg, rel. 82
57.26 deg, rel. 78
50.27 deg, rel. 74
21.86 deg, rel. 44
85.93 deg, rel. 44